Record 1
Theoretical X-ray powder pattern
Compound: LiPmCdAu2
Radiation: CuKα
Structure: a DFT-relaxed cell (GGA-PBE, Alexandria)

Atomic structure:
```
data_LiPmCdAu2
_cell_length_a 5.534
_cell_length_b 6.799
_cell_length_c 5.730
_cell_angle_alpha 90.00
_cell_angle_beta 90.00
_cell_angle_gamma 90.00
_space_group_name_H-M_alt 'P 1'
_space_group_IT_number 1
_space_group_name_Hall 'P 1'
loop_
_atom_site_label
_atom_site_fract_x
_atom_site_fract_y
_atom_site_fract_z
Li1 0.000 0.000 0.000
Li2 0.500 0.000 0.000
Pm1 0.250 0.500 0.248
Pm2 0.750 0.500 0.752
Cd1 0.250 0.000 0.410
Cd2 0.750 0.000 0.590
Au1 0.250 0.289 0.766
Au2 0.250 0.711 0.766
Au3 0.750 0.289 0.234
Au4 0.750 0.711 0.234
```

The 10 most intense peaks (2θ from 10° to 90°), most intense first:
2theta  I_rel
34.70  100
32.35  42
31.22  25
59.22  22
45.58  19
46.09  18
22.33  16
33.96  15
66.17  14
13.02  12



Record 2
Theoretical X-ray powder pattern
Compound: Li2PrCdAu2
Radiation: CuKα
Structure: a DFT-relaxed cell (GGA-PBE, Alexandria)

Atomic structure:
```
data_Li2PrCdAu2
_cell_length_a 4.599
_cell_length_b 4.599
_cell_length_c 6.754
_cell_angle_alpha 90.00
_cell_angle_beta 90.00
_cell_angle_gamma 120.00
_space_group_name_H-M_alt 'P 1'
_space_group_IT_number 1
_space_group_name_Hall 'P 1'
loop_
_atom_site_label
_atom_site_fract_x
_atom_site_fract_y
_atom_site_fract_z
Li1 0.333 0.667 0.164
Li2 0.667 0.333 0.836
Pr1 0.000 0.000 0.500
Cd1 0.000 0.000 0.000
Au1 0.333 0.667 0.764
Au2 0.667 0.333 0.236
```

The 10 most intense peaks (2θ from 10° to 90°), most intense first:
2theta  I_rel
25.97  100
34.83  87
39.17  67
53.41  26
68.20  25
69.00  22
46.32  21
47.60  20
63.29  17
70.99  12



Record 3
Theoretical X-ray powder pattern
Compound: Li2PrCd2Au2
Radiation: CuKα
Structure: a DFT-relaxed cell (GGA-PBE, Alexandria)

Atomic structure:
```
data_Li2PrCd2Au2
_cell_length_a 8.471
_cell_length_b 8.471
_cell_length_c 8.471
_cell_angle_alpha 32.87
_cell_angle_beta 32.87
_cell_angle_gamma 32.87
_space_group_name_H-M_alt 'P 1'
_space_group_IT_number 1
_space_group_name_Hall 'P 1'
loop_
_atom_site_label
_atom_site_fract_x
_atom_site_fract_y
_atom_site_fract_z
Li1 0.133 0.133 0.133
Li2 0.867 0.867 0.867
Pr1 0.000 0.000 0.000
Cd1 0.252 0.252 0.252
Cd2 0.748 0.748 0.748
Au1 0.408 0.408 0.408
Au2 0.592 0.592 0.592
```

The 10 most intense peaks (2θ from 10° to 90°), most intense first:
2theta  I_rel
37.52  100
28.42  86
44.04  44
22.21  44
11.05  43
33.90  38
60.24  37
21.72  22
47.73  21
36.95  21



Record 4
Theoretical X-ray powder pattern
Compound: LiSmCdAu2
Radiation: CuKα
Structure: a DFT-relaxed cell (GGA-PBE, Alexandria)

Atomic structure:
```
data_LiSmCdAu2
_cell_length_a 5.511
_cell_length_b 6.792
_cell_length_c 5.709
_cell_angle_alpha 90.00
_cell_angle_beta 90.00
_cell_angle_gamma 90.00
_space_group_name_H-M_alt 'P 1'
_space_group_IT_number 1
_space_group_name_Hall 'P 1'
loop_
_atom_site_label
_atom_site_fract_x
_atom_site_fract_y
_atom_site_fract_z
Li1 0.000 0.000 0.000
Li2 0.500 0.000 0.000
Sm1 0.250 0.500 0.248
Sm2 0.750 0.500 0.752
Cd1 0.250 0.000 0.409
Cd2 0.750 0.000 0.591
Au1 0.250 0.290 0.766
Au2 0.250 0.710 0.766
Au3 0.750 0.290 0.234
Au4 0.750 0.710 0.234
```

The 10 most intense peaks (2θ from 10° to 90°), most intense first:
2theta  I_rel
34.78  100
32.50  41
31.34  25
59.46  21
46.17  19
45.77  19
22.42  15
34.07  15
66.38  13
13.03  13



Record 5
Theoretical X-ray powder pattern
Compound: LiSm2CdAu4
Radiation: CuKα
Structure: a DFT-relaxed cell (GGA-PBE, Alexandria)

Atomic structure:
```
data_LiSm2CdAu4
_cell_length_a 8.446
_cell_length_b 8.446
_cell_length_c 8.446
_cell_angle_alpha 34.67
_cell_angle_beta 34.67
_cell_angle_gamma 34.67
_space_group_name_H-M_alt 'P 1'
_space_group_IT_number 1
_space_group_name_Hall 'P 1'
loop_
_atom_site_label
_atom_site_fract_x
_atom_site_fract_y
_atom_site_fract_z
Li1 0.000 0.000 0.000
Sm1 0.247 0.247 0.247
Sm2 0.753 0.753 0.753
Cd1 0.500 0.500 0.500
Au1 0.117 0.117 0.117
Au2 0.374 0.374 0.374
Au3 0.626 0.626 0.626
Au4 0.883 0.883 0.883
```

The 10 most intense peaks (2θ from 10° to 90°), most intense first:
2theta  I_rel
35.68  100
36.58  88
64.69  33
52.03  32
25.34  21
64.10  18
87.02  16
66.43  13
88.61  12
75.58  12



Record 6
Theoretical X-ray powder pattern
Compound: SrLi2CdAu
Radiation: CuKα
Structure: a DFT-relaxed cell (GGA-PBE, Alexandria)

Atomic structure:
```
data_SrLi2CdAu
_cell_length_a 5.007
_cell_length_b 5.007
_cell_length_c 5.349
_cell_angle_alpha 90.00
_cell_angle_beta 90.00
_cell_angle_gamma 90.00
_space_group_name_H-M_alt 'P 1'
_space_group_IT_number 1
_space_group_name_Hall 'P 1'
loop_
_atom_site_label
_atom_site_fract_x
_atom_site_fract_y
_atom_site_fract_z
Sr1 0.000 0.000 0.000
Li1 0.000 0.500 0.500
Li2 0.500 0.000 0.500
Cd1 0.500 0.500 0.000
Au1 0.500 0.500 0.500
```

The 10 most intense peaks (2θ from 10° to 90°), most intense first:
2theta  I_rel
25.15  100
17.71  74
42.35  50
35.87  44
24.35  41
49.90  35
33.51  27
68.91  24
38.15  22
58.27  19



Record 7
Theoretical X-ray powder pattern
Compound: LiTbCd2Au4
Radiation: CuKα
Structure: a DFT-relaxed cell (GGA-PBE, Alexandria)

Atomic structure:
```
data_LiTbCd2Au4
_cell_length_a 8.433
_cell_length_b 8.433
_cell_length_c 8.433
_cell_angle_alpha 33.05
_cell_angle_beta 33.05
_cell_angle_gamma 33.05
_space_group_name_H-M_alt 'P 1'
_space_group_IT_number 1
_space_group_name_Hall 'P 1'
loop_
_atom_site_label
_atom_site_fract_x
_atom_site_fract_y
_atom_site_fract_z
Li1 0.000 0.000 0.000
Tb1 0.500 0.500 0.500
Cd1 0.252 0.252 0.252
Cd2 0.748 0.748 0.748
Au1 0.115 0.115 0.115
Au2 0.372 0.372 0.372
Au3 0.628 0.628 0.628
Au4 0.885 0.885 0.885
```

The 10 most intense peaks (2θ from 10° to 90°), most intense first:
2theta  I_rel
37.49  100
37.07  94
67.37  33
53.75  32
26.12  26
67.65  18
66.53  13
79.99  11
28.47  10
33.99  8



Record 8
Theoretical X-ray powder pattern
Compound: LiThCd2Au4
Radiation: CuKα
Structure: a DFT-relaxed cell (GGA-PBE, Alexandria)

Atomic structure:
```
data_LiThCd2Au4
_cell_length_a 8.748
_cell_length_b 8.748
_cell_length_c 8.748
_cell_angle_alpha 31.86
_cell_angle_beta 31.86
_cell_angle_gamma 31.86
_space_group_name_H-M_alt 'P 1'
_space_group_IT_number 1
_space_group_name_Hall 'P 1'
loop_
_atom_site_label
_atom_site_fract_x
_atom_site_fract_y
_atom_site_fract_z
Li1 0.000 0.000 0.000
Th1 0.500 0.500 0.500
Cd1 0.257 0.257 0.257
Cd2 0.743 0.743 0.743
Au1 0.111 0.111 0.111
Au2 0.373 0.373 0.373
Au3 0.627 0.627 0.627
Au4 0.889 0.889 0.889
```

The 10 most intense peaks (2θ from 10° to 90°), most intense first:
2theta  I_rel
37.45  100
36.05  92
66.66  31
52.96  31
27.96  19
67.57  18
25.77  16
33.15  14
79.90  11
21.66  10